Simulated X-ray diffraction stick pattern
Compound: K3Na2LiTeO6
Radiation: λ = 1.5418 Å (Cu Kα)
Structure: a DFT-relaxed cell (GGA-PBE, Alexandria)

Atomic structure:
Lattice parameters (Å, degrees): 9.4018 12.0678 6.8803 90.00 93.70 90.00
Space group Cc (No. 9)
Inequivalent atoms, fractional coordinates:
K 0.0000 0.0141 0.0000 x4
K 0.1491 0.4597 0.5291 x4
K 0.3315 0.0465 0.3401 x4
Na 0.0504 0.2692 0.8754 x4
Na 0.2477 0.2844 0.1782 x4
Li 0.1402 0.2206 0.5246 x4
Te 0.3921 0.2434 0.7737 x4
O 0.0052 0.3790 0.1725 x4
O 0.0662 0.1614 0.2761 x4
O 0.2175 0.1478 0.7616 x4
O 0.2798 0.3677 0.8718 x4
O 0.3355 0.2894 0.5005 x4
O 0.4499 0.1997 0.0470 x4

The 6 most intense peaks (2θ from 15° to 90°), by angle:
hkl 1 1 -1, 17.2 deg, rel. 99
hkl 1 1 1, 18.1 deg, rel. 100
hkl 2 2 0, 24.0 deg, rel. 55
hkl 1 3 1, 27.7 deg, rel. 46
hkl 0 2 2, 29.9 deg, rel. 61
hkl 3 3 -1, 38.1 deg, rel. 54